SrNpP2O8: computed powder XRD pattern (Cu Kα (weighted mean of Kα1 and Kα2)), based on a cell relaxed with GGA-PBE.
Peak positions follow from Bragg's law for the DFT cell and can differ from measured ones.

```
data_SrNpP2O8
_chemical_formula_sum 'Sr8 Np8 P16 O64'
_cell_length_a 10.6212
_cell_length_b 9.0454
_cell_length_c 13.4088
_cell_angle_alpha 90.00
_cell_angle_beta 90.00
_cell_angle_gamma 90.00
_space_group_name_H-M_alt 'C m c e'
_space_group_IT_number 64
_space_group_name_Hall '-C 2ac 2'
loop_
_atom_site_label
_atom_site_type_symbol
_atom_site_fract_x
_atom_site_fract_y
_atom_site_fract_z
Sr1 Sr 0.2500 0.0203 0.2500
Np1 Np 0.0000 0.2283 0.0910
P1 P 0.0000 0.1784 0.8174
P2 P 0.2269 0.0000 0.5000
O1 O 0.0000 0.0068 0.8124
O2 O 0.0000 0.2316 0.9269
O3 O 0.1161 0.2357 0.7586
O4 O 0.1427 0.0836 0.5763
O5 O 0.1903 0.1036 0.0645
```

Main lines, sorted by position (2θ from 15° to 90°):
h k l, 2θ (°), Rel. int.
1 1 2, 18.5, 100
2 2 0, 25.9, 96
1 1 4, 29.6, 42
2 0 4, 31.6, 38
4 0 0, 33.7, 37
3 3 2, 41.6, 35
4 2 4, 48.1, 33
2 2 6, 48.6, 22